Record 1
The following is a simulated PXRD pattern of VH2. It was derived from a crystal structure in the Materials Project, relaxed with GGA-PBE, using Cu Kα, 1.54184 Å.
Kinematic intensities with the Lorentz-polarization factor, no thermal factor.

Peak list (5 most intense, 15° ≤ 2θ ≤ 90°, sorted by position)
| Position (°2θ) | I_rel |
| --- | --- |
| 36.9 | 100 |
| 42.9 | 43 |
| 62.3 | 30 |
| 74.7 | 31 |
| 78.6 | 9 |

Crystal structure
abc: 2.9804 2.9804 2.9804
angles: 60.00 60.00 60.00
Element x y z (fractional)
V (0.0000, 0.0000, 0.0000)
H (0.2500, 0.2500, 0.2500)
H (0.7500, 0.7500, 0.7500)

=====

Record 2
The following is a simulated PXRD pattern of HW. It was derived from a crystal structure in the Materials Project, relaxed with GGA-PBE, using Cu Kα, 1.54184 Å.
Kinematic intensities with the Lorentz-polarization factor, no thermal factor.

Peak list (6 most intense, 15° ≤ 2θ ≤ 90°, sorted by position)
| Position (°2θ) | I_rel |
| --- | --- |
| 35.1 | 23 |
| 37.8 | 26 |
| 40.1 | 100 |
| 63.0 | 18 |
| 69.7 | 20 |
| 75.9 | 21 |

Crystal structure
abc: 2.9490 2.9490 4.7652
angles: 90.00 90.00 120.00
Element x y z (fractional)
H (0.0000, 0.0000, 0.0000)
H (0.0000, 0.0000, 0.5000)
W (0.3333, 0.6667, 0.2500)
W (0.6667, 0.3333, 0.7500)

=====

Record 3
The following is a simulated PXRD pattern of H2W. It was derived from a crystal structure in the Materials Project, relaxed with GGA-PBE, using Cu Kα, 1.54184 Å.
Kinematic intensities with the Lorentz-polarization factor, no thermal factor.

Peak list (6 most intense, 15° ≤ 2θ ≤ 90°, sorted by position)
| Position (°2θ) | I_rel |
| --- | --- |
| 33.3 | 26 |
| 35.5 | 38 |
| 37.8 | 100 |
| 38.0 | 53 |
| 49.5 | 23 |
| 65.3 | 28 |

Crystal structure
abc: 5.0592 3.1135 5.3639
angles: 90.00 90.00 90.00
Element x y z (fractional)
H (0.0246, 0.2500, 0.1698)
H (0.1129, 0.7500, 0.4261)
H (0.3871, 0.2500, 0.9261)
H (0.4754, 0.7500, 0.6698)
H (0.5246, 0.2500, 0.3302)
H (0.6129, 0.7500, 0.0739)
H (0.8871, 0.2500, 0.5739)
H (0.9754, 0.7500, 0.8302)
W (0.2287, 0.7500, 0.0859)
W (0.2713, 0.2500, 0.5859)
W (0.7287, 0.7500, 0.4141)
W (0.7713, 0.2500, 0.9141)

=====

Record 4
The following is a simulated PXRD pattern of HW3. It was derived from a crystal structure in the Materials Project, relaxed with GGA-PBE, using Cu Kα, 1.54184 Å.
Kinematic intensities with the Lorentz-polarization factor, no thermal factor.

Peak list (6 most intense, 15° ≤ 2θ ≤ 90°, sorted by position)
| Position (°2θ) | I_rel |
| --- | --- |
| 27.6 | 34 |
| 37.7 | 24 |
| 41.2 | 25 |
| 43.2 | 100 |
| 76.5 | 19 |
| 82.8 | 21 |

Crystal structure
abc: 5.5095 5.5095 4.3824
angles: 90.00 90.00 120.00
Element x y z (fractional)
H (0.3333, 0.6667, 0.2500)
H (0.6667, 0.3333, 0.7500)
W (0.1652, 0.3303, 0.7500)
W (0.1652, 0.8348, 0.7500)
W (0.3303, 0.1652, 0.2500)
W (0.6697, 0.8348, 0.7500)
W (0.8348, 0.1652, 0.2500)
W (0.8348, 0.6697, 0.2500)

=====

Record 5
The following is a simulated PXRD pattern of Y10H21. It was derived from a crystal structure in the Materials Project, relaxed with GGA-PBE, using Cu Kα, 1.54184 Å.
Kinematic intensities with the Lorentz-polarization factor, no thermal factor.

Peak list (6 most intense, 15° ≤ 2θ ≤ 90°, sorted by position)
| Position (°2θ) | I_rel |
| --- | --- |
| 29.7 | 100 |
| 34.4 | 47 |
| 49.5 | 31 |
| 58.7 | 17 |
| 58.8 | 20 |
| 80.3 | 12 |

Crystal structure
abc: 6.3786 7.3639 8.2314
angles: 102.85 97.50 106.66
Element x y z (fractional)
Y (0.9995, 0.2500, 0.9999)
Y (0.0005, 0.7500, 0.0001)
Y (0.2013, 0.1531, 0.4002)
Y (0.2026, 0.6484, 0.4007)
Y (0.3995, 0.0507, 0.8002)
Y (0.4000, 0.5496, 0.7973)
Y (0.6000, 0.4504, 0.2027)
Y (0.6005, 0.9493, 0.1998)
Y (0.7974, 0.3516, 0.5993)
Y (0.7987, 0.8469, 0.5998)
H (0.0491, 0.9751, 0.8487)
H (0.0507, 0.4751, 0.8496)
H (0.1406, 0.4229, 0.5513)
H (0.1491, 0.9247, 0.5492)
H (0.2443, 0.3724, 0.2440)
H (0.2500, 0.8757, 0.2509)
H (0.3503, 0.8234, 0.9499)
H (0.3509, 0.3262, 0.9505)
H (0.4495, 0.2695, 0.6531)
H (0.4488, 0.7820, 0.6530)
H (0.5000, 0.5000, 0.5000)
H (0.5512, 0.2180, 0.3470)
H (0.5505, 0.7305, 0.3469)
H (0.6491, 0.6738, 0.0495)
H (0.6497, 0.1766, 0.0501)
H (0.7500, 0.1243, 0.7491)
H (0.7557, 0.6276, 0.7560)
H (0.8509, 0.0753, 0.4508)
H (0.8594, 0.5771, 0.4487)
H (0.9493, 0.5249, 0.1504)
H (0.9509, 0.0249, 0.1513)

=====

Record 6
The following is a simulated PXRD pattern of Y3H. It was derived from a crystal structure in the Materials Project, relaxed with GGA-PBE, using Cu Kα, 1.54184 Å.
Kinematic intensities with the Lorentz-polarization factor, no thermal factor.

Peak list (6 most intense, 15° ≤ 2θ ≤ 90°, sorted by position)
| Position (°2θ) | I_rel |
| --- | --- |
| 28.0 | 25 |
| 30.9 | 25 |
| 32.1 | 100 |
| 49.6 | 19 |
| 55.7 | 20 |
| 59.6 | 21 |

Crystal structure
abc: 17.3778 3.6746 6.3659
angles: 90.00 90.00 90.00
Element x y z (fractional)
Y (0.0829, 0.0000, 0.1706)
Y (0.0890, 0.5000, 0.6660)
Y (0.2500, 0.0000, 0.8335)
Y (0.2500, 0.5000, 0.3288)
Y (0.4110, 0.5000, 0.6660)
Y (0.4171, 0.0000, 0.1706)
Y (0.5829, 0.0000, 0.8294)
Y (0.5890, 0.5000, 0.3340)
Y (0.7500, 0.0000, 0.1665)
Y (0.7500, 0.5000, 0.6712)
Y (0.9110, 0.5000, 0.3340)
Y (0.9171, 0.0000, 0.8294)
H (0.1200, 0.5000, 0.3322)
H (0.3800, 0.5000, 0.3322)
H (0.6200, 0.5000, 0.6678)
H (0.8800, 0.5000, 0.6678)

=====

Record 7
The following is a simulated PXRD pattern of ZrH2. It was derived from a crystal structure in the Materials Project, relaxed with GGA-PBE, using Cu Kα, 1.54184 Å.
Kinematic intensities with the Lorentz-polarization factor, no thermal factor.

Peak list (6 most intense, 15° ≤ 2θ ≤ 90°, sorted by position)
| Position (°2θ) | I_rel |
| --- | --- |
| 32.3 | 100 |
| 35.9 | 35 |
| 40.5 | 13 |
| 51.6 | 13 |
| 55.2 | 22 |
| 62.2 | 29 |

Crystal structure
abc: 3.3510 3.3510 3.3510
angles: 116.19 116.19 96.73
Element x y z (fractional)
Zr (0.0000, 0.0000, 0.0000)
H (0.2500, 0.7500, 0.5000)
H (0.7500, 0.2500, 0.5000)

=====

Record 8
The following is a simulated PXRD pattern of ZrH2. It was derived from a crystal structure in the Materials Project, relaxed with GGA-PBE, using Cu Kα, 1.54184 Å.
Kinematic intensities with the Lorentz-polarization factor, no thermal factor.

Peak list (6 most intense, 15° ≤ 2θ ≤ 90°, sorted by position)
| Position (°2θ) | I_rel |
| --- | --- |
| 32.2 | 100 |
| 37.3 | 47 |
| 53.8 | 35 |
| 64.1 | 39 |
| 67.3 | 11 |
| 88.4 | 16 |

Crystal structure
abc: 3.4072 3.4072 3.4072
angles: 60.00 60.00 60.00
Element x y z (fractional)
Zr (0.0000, 0.0000, 0.0000)
H (0.2500, 0.2500, 0.2500)
H (0.7500, 0.7500, 0.7500)

=====

Record 9
The following is a simulated PXRD pattern of He. It was derived from a crystal structure in the Materials Project, relaxed with GGA-PBE, using Cu Kα, 1.54184 Å.
Kinematic intensities with the Lorentz-polarization factor, no thermal factor.

Peak list (6 most intense, 15° ≤ 2θ ≤ 90°, sorted by position)
| Position (°2θ) | I_rel |
| --- | --- |
| 36.4 | 40 |
| 38.3 | 100 |
| 53.8 | 55 |
| 69.2 | 9 |
| 80.8 | 10 |
| 89.6 | 6 |

Crystal structure
abc: 2.7154 2.7154 2.4712
angles: 90.00 90.00 120.00
Element x y z (fractional)
He (0.0000, 0.0000, 0.0000)

=====

Record 10
The following is a simulated PXRD pattern of He. It was derived from a crystal structure in the Materials Project, relaxed with GGA-PBE, using Cu Kα, 1.54184 Å.
Kinematic intensities with the Lorentz-polarization factor, no thermal factor.

Peak list (4 most intense, 15° ≤ 2θ ≤ 90°, sorted by position)
| Position (°2θ) | I_rel |
| --- | --- |
| 42.3 | 100 |
| 49.3 | 42 |
| 72.3 | 16 |
| 87.5 | 15 |

Crystal structure
abc: 2.6149 2.6149 2.6149
angles: 60.00 60.00 60.00
Element x y z (fractional)
He (0.0000, 0.0000, 0.0000)

=====

Record 11
The following is a simulated PXRD pattern of He. It was derived from a crystal structure in the Materials Project, relaxed with GGA-PBE, using Cu Kα, 1.54184 Å.
Kinematic intensities with the Lorentz-polarization factor, no thermal factor.

Peak list (4 most intense, 15° ≤ 2θ ≤ 90°, sorted by position)
| Position (°2θ) | I_rel |
| --- | --- |
| 40.4 | 100 |
| 58.4 | 12 |
| 73.4 | 17 |
| 87.2 | 4 |

Crystal structure
abc: 2.7372 2.7372 2.7372
angles: 109.47 109.47 109.47
Element x y z (fractional)
He (0.0000, 0.0000, 0.0000)

=====

Record 12
The following is a simulated PXRD pattern of He. It was derived from a crystal structure in the Materials Project, relaxed with GGA-PBE, using Cu Kα, 1.54184 Å.
Kinematic intensities with the Lorentz-polarization factor, no thermal factor.

Peak list (6 most intense, 15° ≤ 2θ ≤ 90°, sorted by position)
| Position (°2θ) | I_rel |
| --- | --- |
| 38.0 | 26 |
| 40.6 | 28 |
| 43.3 | 100 |
| 56.8 | 11 |
| 68.7 | 10 |
| 75.7 | 10 |

Crystal structure
abc: 2.7327 2.7327 4.4493
angles: 90.00 90.00 120.00
Element x y z (fractional)
He (0.3333, 0.6667, 0.2500)
He (0.6667, 0.3333, 0.7500)